For Nd4HgAuO, DFT lattice parameters and positions (PBE) gives the theoretical powder X-ray diffraction pattern in this record (a wavelength of 1.5418 Å).
Peak positions follow from Bragg's law for the DFT cell and can differ from measured ones.

```
Nd4HgAuO
1.0
3.475 -7.690 0.000
3.475 7.690 0.000
0.000 0.000 6.938
Nd Hg Au O
8 2 2 2
direct
0.000 0.500 0.000 Nd
0.000 0.500 0.500 Nd
0.065 0.935 0.750 Nd
0.424 0.576 0.750 Nd
0.500 0.000 0.000 Nd
0.500 0.000 0.500 Nd
0.576 0.424 0.250 Nd
0.935 0.065 0.250 Nd
0.382 0.618 0.250 Hg
0.618 0.382 0.750 Hg
0.122 0.878 0.250 Au
0.878 0.122 0.750 Au
0.255 0.745 0.750 O
0.745 0.255 0.250 O
```

Most intense lines, 10° ≤ 2θ ≤ 90°, in order of falling intensity:
d (Å)  2θ (°)  I_rel
2.577  34.82  100
2.455  36.60  82
3.164  28.20  75
2.607  34.41  45
3.472  25.66  36
1.440  64.75  34
1.787  51.11  29
1.736  52.73  29
1.773  51.55  24
2.563  35.01  18



For Rb4C5, DFT lattice parameters and positions (PBE) gives the theoretical powder X-ray diffraction pattern in this record (a wavelength of 1.5418 Å).
Peak positions follow from Bragg's law for the DFT cell and can differ from measured ones.

```
Rb4C5
1.0
-6.016 6.016 1.389
6.016 -6.016 1.389
6.016 6.016 -1.389
Rb C
4 5
direct
0.000 0.237 0.237 Rb
0.000 0.763 0.763 Rb
0.237 0.000 0.237 Rb
0.763 0.000 0.763 Rb
0.000 0.000 0.000 C
0.257 0.257 0.513 C
0.257 0.743 0.000 C
0.743 0.257 0.000 C
0.743 0.743 0.487 C
```

Most intense lines, 10° ≤ 2θ ≤ 90°, in order of falling intensity:
d (Å)  2θ (°)  I_rel
4.254  20.88  100
3.008  29.70  82
2.135  42.34  34
2.706  33.10  31
2.127  42.50  27
2.468  36.40  25
1.819  50.16  23
2.012  45.06  23
1.902  47.81  21
1.556  59.38  16



For LaYHo5Th2, DFT lattice parameters and positions (PBE) gives the theoretical powder X-ray diffraction pattern in this record (a wavelength of 1.5418 Å).
Peak positions follow from Bragg's law for the DFT cell and can differ from measured ones.

```
LaYHo5Th2
1.0
-4.460 4.460 7.589
4.460 -4.460 7.589
4.460 4.460 -7.589
La Y Ho Th
2 2 10 4
direct
0.250 0.250 0.000 La
0.750 0.750 0.000 La
0.250 0.750 0.500 Y
0.750 0.250 0.500 Y
0.000 0.000 0.000 Ho
0.071 0.571 0.914 Ho
0.157 0.071 0.500 Ho
0.343 0.843 0.914 Ho
0.429 0.343 0.500 Ho
0.500 0.500 0.000 Ho
0.571 0.657 0.500 Ho
0.657 0.157 0.086 Ho
0.843 0.929 0.500 Ho
0.929 0.429 0.086 Ho
0.119 0.381 0.500 Th
0.381 0.881 0.263 Th
0.619 0.119 0.737 Th
0.881 0.619 0.500 Th
```

Most intense lines, 10° ≤ 2θ ≤ 90°, in order of falling intensity:
d (Å)  2θ (°)  I_rel
2.890  30.94  100
3.133  28.49  86
3.154  28.30  52
2.442  36.81  34
2.141  42.21  30
2.821  31.72  29
2.416  37.22  26
7.589  11.66  21
1.766  51.78  19
1.897  47.95  16



For PmSm2Ho6Tm3, DFT lattice parameters and positions (PBE) gives the theoretical powder X-ray diffraction pattern in this record (a wavelength of 1.5418 Å).
Peak positions follow from Bragg's law for the DFT cell and can differ from measured ones.

```
PmSm2Ho6Tm3
1.0
3.070 -5.312 0.000
3.070 5.312 0.000
-2.040 0.000 11.549
Pm Sm Ho Tm
1 2 6 3
direct
0.000 0.000 0.000 Pm
0.333 0.667 0.000 Sm
0.667 0.333 0.000 Sm
0.086 0.419 0.254 Ho
0.248 0.248 0.746 Ho
0.419 0.086 0.254 Ho
0.581 0.914 0.746 Ho
0.752 0.752 0.254 Ho
0.914 0.581 0.746 Ho
0.167 0.833 0.500 Tm
0.500 0.500 0.500 Tm
0.833 0.167 0.500 Tm
```

Most intense lines, 10° ≤ 2θ ≤ 90°, in order of falling intensity:
d (Å)  2θ (°)  I_rel
2.891  30.93  100
2.504  35.87  51
1.770  51.63  36
1.510  61.39  32
1.119  87.06  11
1.509  61.47  11
1.446  64.43  9
1.150  84.23  9
1.148  84.35  7
1.252  76.02  6



For TaCrMo, DFT lattice parameters and positions (PBE) gives the theoretical powder X-ray diffraction pattern in this record (a wavelength of 1.5418 Å).
Peak positions follow from Bragg's law for the DFT cell and can differ from measured ones.

```
TaCrMo
1.0
4.426 0.000 0.000
0.000 1.560 6.618
0.000 -1.560 6.618
Ta Cr Mo
2 2 2
direct
0.000 0.000 0.000 Ta
0.500 0.168 0.168 Ta
0.000 0.335 0.335 Cr
0.500 0.498 0.498 Cr
0.000 0.676 0.676 Mo
0.500 0.844 0.844 Mo
```

Most intense lines, 10° ≤ 2θ ≤ 90°, in order of falling intensity:
d (Å)  2θ (°)  I_rel
2.209  40.85  100
1.276  74.33  20
2.206  40.91  19
1.562  59.16  19
1.274  74.47  19
1.104  88.60  11
3.679  24.19  10
3.037  29.41  9
2.650  33.82  8
6.618  13.38  6



For Zr3In2Au, DFT lattice parameters and positions (PBE) gives the theoretical powder X-ray diffraction pattern in this record (a wavelength of 1.5418 Å).
Peak positions follow from Bragg's law for the DFT cell and can differ from measured ones.

```
Zr3In2Au
1.0
3.145 0.000 0.000
0.000 3.145 0.000
0.000 0.000 12.948
Zr In Au
3 2 1
direct
0.000 0.000 0.000 Zr
0.000 0.000 0.345 Zr
0.000 0.000 0.655 Zr
0.500 0.500 0.172 In
0.500 0.500 0.828 In
0.500 0.500 0.500 Au
```

Most intense lines, 10° ≤ 2θ ≤ 90°, in order of falling intensity:
d (Å)  2θ (°)  I_rel
2.542  35.31  100
2.224  40.57  34
1.337  70.41  26
1.549  59.71  20
2.158  41.86  15
1.573  58.71  11
1.308  72.21  11
1.271  74.69  10
4.316  20.58  4
3.145  28.38  4



For Cs6Au2IO, DFT lattice parameters and positions (PBE) gives the theoretical powder X-ray diffraction pattern in this record (a wavelength of 1.5418 Å).
Peak positions follow from Bragg's law for the DFT cell and can differ from measured ones.

```
Cs6Au2IO
1.0
8.694 0.000 0.000
0.000 9.365 0.000
-8.476 0.000 12.517
Cs Au I O
12 4 2 2
direct
0.080 0.056 0.212 Cs
0.080 0.444 0.712 Cs
0.225 0.726 0.076 Cs
0.225 0.774 0.576 Cs
0.330 0.158 0.059 Cs
0.330 0.342 0.559 Cs
0.670 0.658 0.441 Cs
0.670 0.842 0.941 Cs
0.775 0.226 0.424 Cs
0.775 0.274 0.924 Cs
0.920 0.556 0.288 Cs
0.920 0.944 0.788 Cs
0.286 0.086 0.753 Au
0.286 0.414 0.253 Au
0.714 0.586 0.747 Au
0.714 0.914 0.247 Au
0.500 0.000 0.500 I
0.500 0.500 0.000 I
0.000 0.000 0.000 O
0.000 0.500 0.500 O
```

Most intense lines, 10° ≤ 2θ ≤ 90°, in order of falling intensity:
d (Å)  2θ (°)  I_rel
3.745  23.76  100
2.862  31.25  60
3.786  23.50  45
2.547  35.24  39
3.470  25.67  37
2.518  35.66  35
3.906  22.77  33
3.456  25.78  28
3.115  28.66  25
4.493  19.76  23



For Pm3Pr3Sn2, DFT lattice parameters and positions (PBE) gives the theoretical powder X-ray diffraction pattern in this record (a wavelength of 1.5418 Å).
Peak positions follow from Bragg's law for the DFT cell and can differ from measured ones.

```
Pm3Pr3Sn2
1.0
2.167 -6.150 0.000
2.167 6.150 0.000
0.000 0.000 19.842
Pm Pr Sn
6 6 4
direct
0.096 0.904 0.750 Pm
0.142 0.858 0.023 Pm
0.142 0.858 0.477 Pm
0.858 0.142 0.523 Pm
0.858 0.142 0.977 Pm
0.904 0.096 0.250 Pm
0.184 0.816 0.250 Pr
0.461 0.539 0.114 Pr
0.461 0.539 0.386 Pr
0.539 0.461 0.614 Pr
0.539 0.461 0.886 Pr
0.816 0.184 0.750 Pr
0.254 0.746 0.627 Sn
0.254 0.746 0.873 Sn
0.746 0.254 0.127 Sn
0.746 0.254 0.373 Sn
```

Most intense lines, 10° ≤ 2θ ≤ 90°, in order of falling intensity:
d (Å)  2θ (°)  I_rel
3.154  28.29  100
2.716  32.98  59
2.614  34.31  45
2.978  30.00  45
2.167  41.68  30
2.480  36.22  28
2.848  31.41  28
1.668  55.05  24
3.039  29.39  23
2.382  37.77  17



For RbTh2Cu2Se6, DFT lattice parameters and positions (PBE) gives the theoretical powder X-ray diffraction pattern in this record (a wavelength of 1.5418 Å).
Peak positions follow from Bragg's law for the DFT cell and can differ from measured ones.

```
RbTh2Cu2Se6
1.0
7.676 0.000 0.000
-3.490 6.980 0.000
-3.833 -2.298 6.612
Rb Th Cu Se
1 2 2 6
direct
0.000 0.000 0.000 Rb
0.342 0.013 0.672 Th
0.658 0.987 0.328 Th
0.042 0.575 0.308 Cu
0.958 0.425 0.692 Cu
0.136 0.244 0.682 Se
0.243 0.756 0.916 Se
0.449 0.746 0.529 Se
0.551 0.254 0.471 Se
0.757 0.244 0.084 Se
0.864 0.756 0.318 Se
```

Most intense lines, 10° ≤ 2θ ≤ 90°, in order of falling intensity:
d (Å)  2θ (°)  I_rel
3.445  25.87  100
6.599  13.42  99
3.463  25.73  55
3.240  27.53  54
6.273  14.12  44
2.241  40.24  41
2.583  34.73  36
1.897  47.94  35
2.568  34.94  33
2.501  35.91  27



For Cu4SiW, DFT lattice parameters and positions (PBE) gives the theoretical powder X-ray diffraction pattern in this record (a wavelength of 1.5418 Å).
Peak positions follow from Bragg's law for the DFT cell and can differ from measured ones.

```
Cu4SiW
1.0
0.000 3.377 3.377
3.377 0.000 3.377
3.377 3.377 0.000
Cu Si W
4 1 1
direct
0.125 0.125 0.125 Cu
0.125 0.125 0.625 Cu
0.125 0.625 0.125 Cu
0.625 0.125 0.125 Cu
0.750 0.750 0.750 Si
0.500 0.500 0.500 W
```

Most intense lines, 10° ≤ 2θ ≤ 90°, in order of falling intensity:
d (Å)  2θ (°)  I_rel
2.036  44.49  100
2.388  37.67  38
1.950  46.58  31
1.300  72.75  30
3.377  26.39  25
3.900  22.80  24
1.194  80.43  21
1.379  68.00  13
1.510  61.39  10
1.550  59.67  6



For Ac3Cd5Ag6, DFT lattice parameters and positions (PBE) gives the theoretical powder X-ray diffraction pattern in this record (a wavelength of 1.5418 Å).
Peak positions follow from Bragg's law for the DFT cell and can differ from measured ones.

```
Ac3Cd5Ag6
1.0
-2.419 5.057 7.186
2.419 -5.057 7.186
2.419 5.057 -7.186
Ac Cd Ag
3 5 6
direct
0.000 0.000 0.000 Ac
0.312 0.312 0.000 Ac
0.688 0.688 0.000 Ac
0.028 0.674 0.355 Cd
0.319 0.674 0.645 Cd
0.500 0.000 0.500 Cd
0.681 0.326 0.355 Cd
0.972 0.326 0.645 Cd
0.156 0.876 0.280 Ag
0.290 0.500 0.790 Ag
0.404 0.124 0.280 Ag
0.596 0.876 0.720 Ag
0.710 0.500 0.210 Ag
0.844 0.124 0.720 Ag
```

Most intense lines, 10° ≤ 2θ ≤ 90°, in order of falling intensity:
d (Å)  2θ (°)  I_rel
2.824  31.69  100
2.767  32.35  51
2.419  37.18  48
2.757  32.47  32
3.403  26.18  30
2.471  36.36  24
2.581  34.76  23
2.395  37.55  21
1.818  50.18  19
1.511  61.38  18



For Tb3Tm4Cd4, DFT lattice parameters and positions (PBE) gives the theoretical powder X-ray diffraction pattern in this record (a wavelength of 1.5418 Å).
Peak positions follow from Bragg's law for the DFT cell and can differ from measured ones.

```
Tb3Tm4Cd4
1.0
-2.639 3.501 8.426
2.639 -3.501 8.426
2.639 3.501 -8.426
Tb Tm Cd
3 4 4
direct
0.000 0.000 0.000 Tb
0.395 0.895 0.500 Tb
0.605 0.105 0.500 Tb
0.055 0.318 0.737 Tm
0.419 0.682 0.737 Tm
0.581 0.318 0.263 Tm
0.945 0.682 0.263 Tm
0.179 0.179 0.000 Cd
0.293 0.500 0.793 Cd
0.707 0.500 0.207 Cd
0.821 0.821 0.000 Cd
```

Most intense lines, 10° ≤ 2θ ≤ 90°, in order of falling intensity:
d (Å)  2θ (°)  I_rel
2.875  31.11  100
2.639  33.97  53
2.589  34.64  31
2.206  40.91  30
2.841  31.50  30
3.037  29.41  24
2.980  29.99  23
2.809  31.86  22
1.356  69.28  21
2.337  38.52  21



For SmCd, DFT lattice parameters and positions (PBE) gives the theoretical powder X-ray diffraction pattern in this record (a wavelength of 1.5418 Å).
Peak positions follow from Bragg's law for the DFT cell and can differ from measured ones.

```
SmCd
1.0
3.815 0.000 0.000
0.000 3.815 0.000
0.000 0.000 3.815
Sm Cd
1 1
direct
0.000 0.000 0.000 Sm
0.500 0.500 0.500 Cd
```

Most intense lines, 10° ≤ 2θ ≤ 90°, in order of falling intensity:
d (Å)  2θ (°)  I_rel
2.697  33.21  100
1.557  59.34  37
1.907  47.68  18
1.206  79.44  16
1.349  69.72  11
1.101  88.86  4
3.815  23.32  2
1.706  53.73  1
2.202  40.98  1
1.272  74.64  1